Record 1
The following is a computed powder diffraction line list of KNdHgSe3. It was derived from a DFT-relaxed cell (GGA-PBE, OQMD), using Cu Kα (λ = 1.5418 Å).
Kinematic intensities with the Lorentz-polarization factor, no thermal factor.

Most intense lines, 5° ≤ 2θ ≤ 70°, sorted by position:
| Position (°2θ) | I (rel.) |
| --- | --- |
| 9.80 | 45 |
| 28.17 | 100 |
| 29.37 | 52 |
| 35.71 | 28 |
| 40.98 | 35 |
| 45.42 | 26 |

Structure:
a b c (Å): 9.635 9.635 9.290
angles (deg): 103.29 103.29 25.98
Atoms (fractional coordinates):
K  0.138  0.138  0.070
K  0.862  0.862  0.930
Nd  0.172  0.172  0.585
Nd  0.828  0.828  0.415
Hg  0.481  0.481  0.277
Hg  0.519  0.519  0.723
Se  0.000  0.000  0.500
Se  0.330  0.330  0.199
Se  0.332  0.332  0.635
Se  0.500  0.500  0.000
Se  0.668  0.668  0.365
Se  0.670  0.670  0.801



Record 2
The following is a computed powder diffraction line list of Gd3Tl2Sn4Pb. It was derived from a DFT-relaxed cell (GGA-PBE, OQMD), using Cu Kα (λ = 1.5418 Å).
Kinematic intensities with the Lorentz-polarization factor, no thermal factor.

Most intense lines, 5° ≤ 2θ ≤ 70°, sorted by position:
| Position (°2θ) | I (rel.) |
| --- | --- |
| 32.49 | 100 |
| 36.78 | 16 |
| 37.93 | 17 |
| 38.34 | 19 |
| 65.10 | 14 |
| 65.67 | 14 |

Structure:
a b c (Å): 12.442 12.442 4.745
angles (deg): 90.00 90.00 158.25
Atoms (fractional coordinates):
Gd  0.000  0.000  0.000
Gd  0.188  0.812  0.000
Gd  0.812  0.188  0.000
Tl  0.294  0.706  0.500
Tl  0.706  0.294  0.500
Sn  0.100  0.900  0.500
Sn  0.402  0.598  0.000
Sn  0.598  0.402  0.000
Sn  0.900  0.100  0.500
Pb  0.500  0.500  0.500



Record 3
The following is a computed powder diffraction line list of CdNi7. It was derived from a DFT-relaxed cell (GGA-PBE, OQMD), using Cu Kα (λ = 1.5418 Å).
Kinematic intensities with the Lorentz-polarization factor, no thermal factor.

Most intense lines, 5° ≤ 2θ ≤ 70°, sorted by position:
| Position (°2θ) | I (rel.) |
| --- | --- |
| 5.30 | 100 |
| 43.84 | 51 |
| 44.11 | 30 |
| 46.43 | 16 |
| 50.02 | 19 |
| 53.57 | 14 |

Structure:
a b c (Å): 2.591 3.423 33.365
angles (deg): 90.00 90.00 90.00
Atoms (fractional coordinates):
Cd  0.250  0.250  0.212
Cd  0.750  0.750  0.788
Ni  0.250  0.250  0.298
Ni  0.250  0.250  0.372
Ni  0.250  0.250  0.445
Ni  0.250  0.250  0.518
Ni  0.250  0.250  0.591
Ni  0.250  0.250  0.665
Ni  0.250  0.250  0.739
Ni  0.750  0.750  0.261
Ni  0.750  0.750  0.335
Ni  0.750  0.750  0.409
Ni  0.750  0.750  0.482
Ni  0.750  0.750  0.555
Ni  0.750  0.750  0.628
Ni  0.750  0.750  0.702



Record 4
The following is a computed powder diffraction line list of KPm2Tc4. It was derived from a DFT-relaxed cell (GGA-PBE, OQMD), using Cu Kα (λ = 1.5418 Å).
Kinematic intensities with the Lorentz-polarization factor, no thermal factor.

Most intense lines, 5° ≤ 2θ ≤ 70°, sorted by position:
| Position (°2θ) | I (rel.) |
| --- | --- |
| 26.90 | 54 |
| 29.49 | 82 |
| 35.67 | 57 |
| 36.26 | 95 |
| 38.41 | 100 |
| 68.04 | 47 |

Structure:
a b c (Å): 8.163 8.163 8.163
angles (deg): 146.63 146.63 47.91
Atoms (fractional coordinates):
K  0.000  0.000  0.000
Pm  0.366  0.366  0.000
Pm  0.634  0.634  0.000
Tc  0.000  0.500  0.500
Tc  0.183  0.183  0.000
Tc  0.500  0.000  0.500
Tc  0.817  0.817  0.000



Record 5
The following is a computed powder diffraction line list of BeTl2AgCl6. It was derived from a DFT-relaxed cell (GGA-PBE, OQMD), using Cu Kα (λ = 1.5418 Å).
Kinematic intensities with the Lorentz-polarization factor, no thermal factor.

Most intense lines, 5° ≤ 2θ ≤ 70°, sorted by position:
| Position (°2θ) | I (rel.) |
| --- | --- |
| 18.15 | 22 |
| 25.78 | 100 |
| 31.71 | 48 |
| 36.78 | 53 |
| 45.45 | 44 |
| 52.99 | 35 |

Structure:
a b c (Å): 6.912 6.912 6.912
angles (deg): 60.00 60.00 60.00
Atoms (fractional coordinates):
Be  0.000  0.000  0.000
Tl  0.250  0.250  0.250
Tl  0.750  0.750  0.750
Ag  0.500  0.500  0.500
Cl  0.235  0.235  0.765
Cl  0.235  0.765  0.235
Cl  0.235  0.765  0.765
Cl  0.765  0.235  0.235
Cl  0.765  0.235  0.765
Cl  0.765  0.765  0.235



Record 6
The following is a computed powder diffraction line list of Cu3SbSe2S2. It was derived from a DFT-relaxed cell (GGA-PBE, OQMD), using Cu Kα (λ = 1.5418 Å).
Kinematic intensities with the Lorentz-polarization factor, no thermal factor.

Most intense lines, 5° ≤ 2θ ≤ 70°, sorted by position:
| Position (°2θ) | I (rel.) |
| --- | --- |
| 27.81 | 100 |
| 36.13 | 7 |
| 46.10 | 11 |
| 46.23 | 55 |
| 54.76 | 27 |
| 54.85 | 13 |

Structure:
a b c (Å): 6.804 6.798 5.561
angles (deg): 65.93 65.81 48.26
Atoms (fractional coordinates):
Cu  0.000  0.000  0.000
Cu  0.228  0.228  0.272
Cu  0.728  0.728  0.772
Sb  0.494  0.494  0.506
Se  0.087  0.623  0.377
Se  0.623  0.087  0.913
S  0.357  0.887  0.643
S  0.887  0.357  0.113



Record 7
The following is a computed powder diffraction line list of La2Zr2O5. It was derived from a DFT-relaxed cell (GGA-PBE, OQMD), using Cu Kα (λ = 1.5418 Å).
Kinematic intensities with the Lorentz-polarization factor, no thermal factor.

Most intense lines, 5° ≤ 2θ ≤ 70°, sorted by position:
| Position (°2θ) | I (rel.) |
| --- | --- |
| 30.13 | 52 |
| 31.94 | 100 |
| 43.13 | 34 |
| 54.66 | 43 |
| 58.02 | 13 |
| 66.77 | 14 |

Structure:
a b c (Å): 4.195 4.195 7.531
angles (deg): 90.00 90.00 90.00
Atoms (fractional coordinates):
La  0.000  0.000  0.000
La  0.000  0.000  0.500
Zr  0.500  0.500  0.221
Zr  0.500  0.500  0.779
O  0.000  0.500  0.249
O  0.000  0.500  0.751
O  0.500  0.000  0.249
O  0.500  0.000  0.751
O  0.500  0.500  0.500



Record 8
The following is a computed powder diffraction line list of Zr3Ge4Pt. It was derived from a DFT-relaxed cell (GGA-PBE, OQMD), using Cu Kα (λ = 1.5418 Å).
Kinematic intensities with the Lorentz-polarization factor, no thermal factor.

Most intense lines, 5° ≤ 2θ ≤ 70°, sorted by position:
| Position (°2θ) | I (rel.) |
| --- | --- |
| 27.32 | 74 |
| 30.83 | 70 |
| 38.87 | 74 |
| 39.56 | 65 |
| 39.71 | 100 |
| 47.31 | 52 |

Structure:
a b c (Å): 6.338 3.735 6.723
angles (deg): 90.00 90.45 90.00
Atoms (fractional coordinates):
Zr  0.000  0.000  0.000
Zr  0.032  0.500  0.424
Zr  0.537  0.500  0.528
Ge  0.247  0.500  0.808
Ge  0.343  0.000  0.260
Ge  0.685  0.500  0.137
Ge  0.818  0.000  0.636
Pt  0.521  0.000  0.909



Record 9
The following is a computed powder diffraction line list of CuH8C8I5N4. It was derived from a DFT-relaxed cell (GGA-PBE, OQMD), using Cu Kα (λ = 1.5418 Å).
Kinematic intensities with the Lorentz-polarization factor, no thermal factor.

Most intense lines, 5° ≤ 2θ ≤ 70°, sorted by position:
| Position (°2θ) | I (rel.) |
| --- | --- |
| 18.17 | 100 |
| 19.00 | 88 |
| 25.53 | 79 |
| 26.41 | 78 |
| 27.83 | 47 |
| 29.26 | 65 |

Structure:
a b c (Å): 11.353 9.865 11.954
angles (deg): 61.83 50.00 68.16
Atoms (fractional coordinates):
Cu  0.000  0.000  0.000
Cu  0.250  0.250  0.250
H  0.061  0.861  0.792
H  0.121  0.291  0.726
H  0.134  0.956  0.522
H  0.191  0.387  0.458
H  0.286  0.792  0.863
H  0.291  0.121  0.861
H  0.387  0.191  0.964
H  0.389  0.524  0.959
H  0.458  0.964  0.189
H  0.524  0.389  0.129
H  0.728  0.863  0.116
H  0.792  0.286  0.059
H  0.861  0.061  0.286
H  0.863  0.728  0.294
H  0.956  0.134  0.387
H  0.964  0.458  0.389
C  0.032  0.131  0.270
C  0.037  0.533  0.271
C  0.092  0.979  0.717
C  0.124  0.216  0.681
C  0.131  0.032  0.568
C  0.162  0.269  0.532
C  0.213  0.718  0.981
C  0.216  0.124  0.980
C  0.269  0.162  0.037
C  0.270  0.569  0.034
C  0.533  0.037  0.158
C  0.569  0.270  0.126
C  0.682  0.980  0.119
C  0.718  0.213  0.088
C  0.979  0.092  0.213
C  0.980  0.682  0.218
I  0.239  0.553  0.726
I  0.245  0.724  0.316
I  0.524  0.768  0.011
I  0.534  0.934  0.526
I  0.553  0.239  0.482
I  0.564  0.564  0.436
I  0.724  0.245  0.716
I  0.768  0.524  0.697
I  0.814  0.814  0.686
I  0.934  0.534  0.005
N  0.068  0.776  0.072
N  0.070  0.088  0.067
N  0.088  0.070  0.775
N  0.166  0.178  0.474
N  0.178  0.166  0.182
N  0.183  0.475  0.180
N  0.475  0.183  0.162
N  0.776  0.068  0.084